# Lu4ZnFeC2
Calculated PXRD pattern, λ = 1.5418 Å (Cu Kα). Input: a DFT-relaxed cell (GGA-PBE, OQMD).
Kinematic intensities with the Lorentz-polarization factor, no thermal factor.

Principal peaks in the range 10° ≤ 2θ ≤ 80°, by angle:
(0 0 2), d = 7.240 Å, 12.23°, rel. 13; (1 0 0), d = 3.004 Å, 29.74°, rel. 25; (1 0 1), d = 2.941 Å, 30.39°, rel. 14; (1 0 3), d = 2.550 Å, 35.19°, rel. 100; (0 0 6), d = 2.413 Å, 37.26°, rel. 15; (1 0 6), d = 1.881 Å, 48.38°, rel. 13; (1 1 0), d = 1.734 Å, 52.78°, rel. 23; (2 0 3), d = 1.434 Å, 65.03°, rel. 17; (1 0 9), d = 1.418 Å, 65.85°, rel. 10; (1 1 6), d = 1.408 Å, 66.38°, rel. 17

Cell and atoms:
a b c (Å): 3.4687 3.4687 14.4794
angles (deg): 90.00 90.00 120.00
Space group P-6m2 (No. 187)
One atom of each set of equivalent atoms:
Lu1 0.0000 0.0000 0.1467
Lu2 0.6667 0.3333 0.3295
Zn1 0.0000 0.0000 0.5000
Fe1 0.6667 0.3333 0.0000
C1 0.3333 0.6667 0.2400